1.
This entry pairs a crystal structure of CsNaMoS4 with its simulated powder diffractogram. Radiation: Cu Kα X-rays. Structure: a PBE-relaxed structure.
Intensities are scaled so that the largest is 1000.

Structural model:
Unit cell a=6.723 b=7.129 c=9.589 alpha=90.00 beta=108.01 gamma=90.00
Positions (direct):
Cs 0.219 0.250 0.427
Cs 0.781 0.750 0.573
Na 0.273 0.250 0.956
Na 0.727 0.750 0.044
Mo 0.293 0.750 0.175
Mo 0.707 0.250 0.825
S 0.098 0.750 0.324
S 0.099 0.750 0.945
S 0.500 0.002 0.784
S 0.500 0.498 0.784
S 0.500 0.502 0.216
S 0.500 0.998 0.216
S 0.901 0.250 0.055
S 0.902 0.250 0.676

Peak list (10 most intense, 10° ≤ 2θ ≤ 90°, in order of rising 2θ)
14.2 deg, I 416
18.9 deg, I 1000
19.3 deg, I 610
23.0 deg, I 359
23.2 deg, I 493
25.0 deg, I 611
28.7 deg, I 532
30.1 deg, I 439
31.4 deg, I 438
37.8 deg, I 468


2.
This entry pairs a crystal structure of CsNaMoSe4 with its simulated powder diffractogram. Radiation: Cu Kα X-rays. Structure: a PBE-relaxed structure.
Intensities are scaled so that the largest is 1000.

Structural model:
Unit cell a=6.807 b=7.415 c=10.071 alpha=90.00 beta=108.88 gamma=90.00
Positions (direct):
Cs 0.225 0.250 0.423
Cs 0.775 0.750 0.577
Na 0.276 0.250 0.957
Na 0.724 0.750 0.043
Mo 0.304 0.750 0.180
Mo 0.696 0.250 0.820
Se 0.101 0.750 0.946
Se 0.104 0.750 0.331
Se 0.478 0.503 0.778
Se 0.478 0.997 0.778
Se 0.522 0.003 0.222
Se 0.522 0.497 0.222
Se 0.896 0.250 0.669
Se 0.899 0.250 0.054

Peak list (10 most intense, 10° ≤ 2θ ≤ 90°, in order of rising 2θ)
18.3 deg, I 802
24.0 deg, I 574
26.6 deg, I 707
27.8 deg, I 902
27.8 deg, I 528
28.0 deg, I 757
29.3 deg, I 654
30.5 deg, I 1000
37.0 deg, I 630
49.4 deg, I 555